This entry pairs a crystal structure of Sm2PuPd3 with its simulated powder diffraction line list. Radiation: CuKα. Structure: the PBE geometry in Alexandria.
Kinematic intensities with the Lorentz-polarization factor, no thermal factor.

Structural model:
```
data_Sm2PuPd3
_space_group_name_H-M_alt 'P 1'
_space_group_IT_number 1
_cell_length_a 3.5267
_cell_length_b 3.5267
_cell_length_c 10.9017
_cell_angle_alpha 90.00
_cell_angle_beta 90.00
_cell_angle_gamma 90.00
loop_
_space_group_symop_operation_xyz
'x,y,z'
loop_
_atom_site_label
_atom_site_type_symbol
_atom_site_fract_x
_atom_site_fract_y
_atom_site_fract_z
Sm1 Sm 0.0000 0.0000 0.1687
Sm2 Sm 0.0000 0.0000 0.8313
Pu1 Pu 0.0000 0.0000 0.5000
Pd1 Pd 0.5000 0.5000 0.0000
Pd2 Pd 0.5000 0.5000 0.3294
Pd3 Pd 0.5000 0.5000 0.6706
```

Most intense lines, 10 to 90 degrees two-theta, sorted by position:
d_spacing, I (rel.), (hkl)
2.531, 100, 1 0 3
2.494, 48, 1 1 0
1.817, 9, 0 0 6
1.763, 17, 2 0 0
1.468, 18, 1 1 6
1.447, 35, 2 1 3
1.265, 11, 2 0 6
1.146, 8, 1 0 9
1.118, 8, 3 0 3
1.115, 8, 3 1 0